The following is a theoretical powder XRD pattern of Ac4LaNd7. It was derived from a crystal structure in Alexandria, relaxed with PBE, using Cu Kα.
Kinematic intensities with the Lorentz-polarization factor, no thermal factor.

Structure:
```
data_Ac4LaNd7
_chemical_formula_sum 'Ac4 La1 Nd7'
_space_group_name_H-M_alt 'P 1'
_space_group_IT_number 1
_space_group_name_Hall 'P 1'
_cell_length_a 3.811
_cell_length_b 3.811
_cell_length_c 36.891
_cell_angle_alpha 90.00
_cell_angle_beta 90.00
_cell_angle_gamma 120.00
loop_
_atom_site_label
_atom_site_fract_x
_atom_site_fract_y
_atom_site_fract_z
Ac1 0.333 0.667 0.165
Ac2 0.333 0.667 0.415
Ac3 0.667 0.333 0.585
Ac4 0.667 0.333 0.835
La1 0.000 0.000 0.000
Nd1 0.000 0.000 0.250
Nd2 0.000 0.000 0.500
Nd3 0.000 0.000 0.750
Nd4 0.333 0.667 0.670
Nd5 0.333 0.667 0.919
Nd6 0.667 0.333 0.081
Nd7 0.667 0.333 0.330
```

Main lines, low angle first (5° ≤ 2θ ≤ 70°):
| 2theta | d/Å | I (rel.) |
| --- | --- | --- |
| 28.7 | 3.107 | 100.0 |
| 29.0 | 3.074 | 31.7 |
| 33.4 | 2.684 | 67.2 |
| 47.7 | 1.905 | 25.1 |
| 48.1 | 1.890 | 23.9 |
| 56.7 | 1.624 | 15.2 |
| 56.8 | 1.620 | 29.4 |
| 57.2 | 1.610 | 14.2 |
| 59.5 | 1.554 | 13.0 |
| 60.2 | 1.537 | 3.9 |

---

The following is a theoretical powder XRD pattern of AcLaNd3. It was derived from a crystal structure in Alexandria, relaxed with PBE, using Cu Kα.
Kinematic intensities with the Lorentz-polarization factor, no thermal factor.

Structure:
```
data_AcLaNd3
_chemical_formula_sum 'Ac2 La2 Nd6'
_space_group_name_H-M_alt 'P 1'
_space_group_IT_number 1
_space_group_name_Hall 'P 1'
_cell_length_a 9.914
_cell_length_b 9.914
_cell_length_c 7.479
_cell_angle_alpha 100.26
_cell_angle_beta 100.26
_cell_angle_gamma 31.27
loop_
_atom_site_label
_atom_site_fract_x
_atom_site_fract_y
_atom_site_fract_z
Ac1 0.199 0.199 0.346
Ac2 0.801 0.801 0.654
La1 0.401 0.401 0.954
La2 0.599 0.599 0.046
Nd1 0.002 0.002 0.753
Nd2 0.198 0.198 0.849
Nd3 0.404 0.404 0.454
Nd4 0.596 0.596 0.546
Nd5 0.802 0.802 0.151
Nd6 0.998 0.998 0.247
```

Main lines, low angle first (5° ≤ 2θ ≤ 70°):
| 2theta | d/Å | I (rel.) |
| --- | --- | --- |
| 29.1 | 3.067 | 100.0 |
| 33.5 | 2.672 | 17.3 |
| 33.6 | 2.664 | 17.0 |
| 34.0 | 2.634 | 16.6 |
| 48.2 | 1.886 | 12.5 |
| 48.5 | 1.876 | 18.5 |
| 57.3 | 1.608 | 22.4 |
| 57.5 | 1.603 | 7.4 |
| 57.9 | 1.594 | 7.2 |
| 58.0 | 1.591 | 7.3 |

---

The following is a theoretical powder XRD pattern of AcLa7Nd3. It was derived from a crystal structure in Alexandria, relaxed with PBE, using Cu Kα.
Kinematic intensities with the Lorentz-polarization factor, no thermal factor.

Structure:
```
data_AcLa7Nd3
_chemical_formula_sum 'Ac1 La7 Nd3'
_space_group_name_H-M_alt 'P 1'
_space_group_IT_number 1
_space_group_name_Hall 'P 1'
_cell_length_a 7.441
_cell_length_b 7.441
_cell_length_c 8.846
_cell_angle_alpha 90.00
_cell_angle_beta 90.00
_cell_angle_gamma 120.00
loop_
_atom_site_label
_atom_site_fract_x
_atom_site_fract_y
_atom_site_fract_z
Ac1 0.000 0.000 0.000
La1 0.333 0.667 0.689
La2 0.338 0.169 0.667
La3 0.501 0.001 0.019
La4 0.501 0.499 0.019
La5 0.831 0.169 0.667
La6 0.831 0.662 0.667
La7 0.999 0.499 0.019
Nd1 0.168 0.336 0.346
Nd2 0.168 0.832 0.346
Nd3 0.664 0.832 0.346
```

Main lines, low angle first (5° ≤ 2θ ≤ 70°):
| 2theta | d/Å | I (rel.) |
| --- | --- | --- |
| 13.7 | 6.444 | 8.0 |
| 29.5 | 3.028 | 100.0 |
| 30.3 | 2.949 | 29.9 |
| 34.4 | 2.604 | 65.3 |
| 49.0 | 1.860 | 24.4 |
| 50.0 | 1.823 | 22.8 |
| 58.2 | 1.585 | 14.7 |
| 58.7 | 1.573 | 27.6 |
| 59.6 | 1.551 | 12.6 |
| 61.2 | 1.514 | 12.4 |

---

The following is a theoretical powder XRD pattern of Ac6La2Nd3. It was derived from a crystal structure in Alexandria, relaxed with PBE, using Cu Kα.
Kinematic intensities with the Lorentz-polarization factor, no thermal factor.

Structure:
```
data_Ac6La2Nd3
_chemical_formula_sum 'Ac6 La2 Nd3'
_space_group_name_H-M_alt 'P 1'
_space_group_IT_number 1
_space_group_name_Hall 'P 1'
_cell_length_a 6.701
_cell_length_b 6.701
_cell_length_c 12.385
_cell_angle_alpha 95.21
_cell_angle_beta 95.21
_cell_angle_gamma 120.08
loop_
_atom_site_label
_atom_site_fract_x
_atom_site_fract_y
_atom_site_fract_z
Ac1 0.083 0.416 0.249
Ac2 0.250 0.250 0.751
Ac3 0.416 0.083 0.249
Ac4 0.584 0.917 0.751
Ac5 0.750 0.750 0.249
Ac6 0.917 0.584 0.751
La1 0.334 0.666 0.000
La2 0.666 0.334 0.000
Nd1 0.166 0.834 0.500
Nd2 0.500 0.500 0.500
Nd3 0.834 0.166 0.500
```

Main lines, low angle first (5° ≤ 2θ ≤ 70°):
| 2theta | d/Å | I (rel.) |
| --- | --- | --- |
| 14.5 | 6.089 | 13.7 |
| 27.1 | 3.294 | 10.1 |
| 28.4 | 3.144 | 100.0 |
| 29.3 | 3.044 | 31.3 |
| 33.2 | 2.701 | 67.1 |
| 47.0 | 1.933 | 17.2 |
| 48.2 | 1.887 | 23.8 |
| 55.8 | 1.648 | 10.4 |
| 56.4 | 1.632 | 30.3 |
| 58.7 | 1.572 | 13.4 |

---

The following is a theoretical powder XRD pattern of AcLa5Pm2Nd. It was derived from a crystal structure in Alexandria, relaxed with PBE, using Cu Kα.
Kinematic intensities with the Lorentz-polarization factor, no thermal factor.

Structure:
```
data_AcLa5Pm2Nd
_chemical_formula_sum 'Ac2 La10 Pm4 Nd2'
_space_group_name_H-M_alt 'P 1'
_space_group_IT_number 1
_space_group_name_Hall 'P 1'
_cell_length_a 8.133
_cell_length_b 8.133
_cell_length_c 10.364
_cell_angle_alpha 90.00
_cell_angle_beta 90.00
_cell_angle_gamma 90.00
loop_
_atom_site_label
_atom_site_fract_x
_atom_site_fract_y
_atom_site_fract_z
Ac1 0.000 0.000 0.000
Ac2 0.500 0.500 0.000
La1 0.000 0.000 0.500
La2 0.199 0.301 0.244
La3 0.199 0.301 0.756
La4 0.301 0.801 0.244
La5 0.301 0.801 0.756
La6 0.500 0.500 0.500
La7 0.699 0.199 0.244
La8 0.699 0.199 0.756
La9 0.801 0.699 0.244
La10 0.801 0.699 0.756
Pm1 0.130 0.630 0.500
Pm2 0.370 0.130 0.500
Pm3 0.630 0.870 0.500
Pm4 0.870 0.370 0.500
Nd1 0.000 0.500 0.000
Nd2 0.500 0.000 0.000
```

Main lines, low angle first (5° ≤ 2θ ≤ 70°):
| 2theta | d/Å | I (rel.) |
| --- | --- | --- |
| 26.0 | 3.432 | 14.2 |
| 27.9 | 3.199 | 100.0 |
| 30.0 | 2.977 | 52.9 |
| 31.1 | 2.875 | 32.5 |
| 34.6 | 2.591 | 29.8 |
| 34.9 | 2.572 | 16.7 |
| 47.2 | 1.925 | 20.4 |
| 49.4 | 1.844 | 13.8 |
| 53.4 | 1.716 | 16.5 |
| 58.0 | 1.590 | 12.7 |

---

The following is a theoretical powder XRD pattern of AcLaPm6Nd2. It was derived from a crystal structure in Alexandria, relaxed with PBE, using Cu Kα.
Kinematic intensities with the Lorentz-polarization factor, no thermal factor.

Structure:
```
data_AcLaPm6Nd2
_chemical_formula_sum 'Ac2 La2 Pm12 Nd4'
_space_group_name_H-M_alt 'P 1'
_space_group_IT_number 1
_space_group_name_Hall 'P 1'
_cell_length_a 9.184
_cell_length_b 9.184
_cell_length_c 9.932
_cell_angle_alpha 93.22
_cell_angle_beta 93.22
_cell_angle_gamma 118.85
loop_
_atom_site_label
_atom_site_fract_x
_atom_site_fract_y
_atom_site_fract_z
Ac1 0.026 0.974 0.750
Ac2 0.974 0.026 0.250
La1 0.408 0.592 0.250
La2 0.592 0.408 0.750
Pm1 0.027 0.563 0.682
Pm2 0.124 0.746 0.056
Pm3 0.254 0.876 0.444
Pm4 0.292 0.502 0.881
Pm5 0.437 0.973 0.818
Pm6 0.498 0.708 0.619
Pm7 0.502 0.292 0.381
Pm8 0.563 0.027 0.182
Pm9 0.708 0.498 0.119
Pm10 0.746 0.124 0.556
Pm11 0.876 0.254 0.944
Pm12 0.973 0.437 0.318
Nd1 0.190 0.307 0.544
Nd2 0.307 0.190 0.044
Nd3 0.693 0.810 0.956
Nd4 0.810 0.693 0.456
```

Main lines, low angle first (5° ≤ 2θ ≤ 70°):
| 2theta | d/Å | I (rel.) |
| --- | --- | --- |
| 27.3 | 3.269 | 54.8 |
| 29.4 | 3.038 | 45.4 |
| 29.8 | 2.995 | 100.0 |
| 30.0 | 2.974 | 70.4 |
| 30.4 | 2.939 | 37.2 |
| 30.9 | 2.894 | 25.0 |
| 32.6 | 2.745 | 42.9 |
| 33.6 | 2.670 | 14.0 |
| 56.0 | 1.641 | 14.4 |
| 57.3 | 1.607 | 14.2 |

---

The following is a theoretical powder XRD pattern of Ac2La5PmNd. It was derived from a crystal structure in Alexandria, relaxed with PBE, using Cu Kα.
Kinematic intensities with the Lorentz-polarization factor, no thermal factor.

Structure:
```
data_Ac2La5PmNd
_chemical_formula_sum 'Ac4 La10 Pm2 Nd2'
_space_group_name_H-M_alt 'P 1'
_space_group_IT_number 1
_space_group_name_Hall 'P 1'
_cell_length_a 11.773
_cell_length_b 11.773
_cell_length_c 10.640
_cell_angle_alpha 90.00
_cell_angle_beta 90.00
_cell_angle_gamma 151.87
loop_
_atom_site_label
_atom_site_fract_x
_atom_site_fract_y
_atom_site_fract_z
Ac1 0.115 0.885 0.500
Ac2 0.116 0.884 0.026
Ac3 0.884 0.116 0.526
Ac4 0.885 0.115 0.000
La1 0.002 0.998 0.763
La2 0.278 0.722 0.073
La3 0.278 0.722 0.452
La4 0.380 0.620 0.763
La5 0.500 0.500 0.013
La6 0.500 0.500 0.513
La7 0.620 0.380 0.263
La8 0.722 0.278 0.573
La9 0.722 0.278 0.952
La10 0.998 0.002 0.263
Pm1 0.219 0.781 0.763
Pm2 0.781 0.219 0.263
Nd1 0.398 0.602 0.263
Nd2 0.602 0.398 0.763
```

Main lines, low angle first (5° ≤ 2θ ≤ 70°):
| 2theta | d/Å | I (rel.) |
| --- | --- | --- |
| 25.7 | 3.469 | 24.4 |
| 29.9 | 2.989 | 16.1 |
| 30.1 | 2.965 | 100.0 |
| 31.3 | 2.860 | 45.6 |
| 33.7 | 2.660 | 17.1 |
| 44.8 | 2.021 | 9.9 |
| 46.6 | 1.948 | 13.9 |
| 54.9 | 1.671 | 18.7 |
| 57.2 | 1.609 | 8.5 |
| 57.5 | 1.602 | 14.9 |

---

The following is a theoretical powder XRD pattern of Ac2LaPm4Nd2. It was derived from a crystal structure in Alexandria, relaxed with PBE, using Cu Kα.
Kinematic intensities with the Lorentz-polarization factor, no thermal factor.

Structure:
```
data_Ac2LaPm4Nd2
_chemical_formula_sum 'Ac2 La1 Pm4 Nd2'
_space_group_name_H-M_alt 'P 1'
_space_group_IT_number 1
_space_group_name_Hall 'P 1'
_cell_length_a 9.967
_cell_length_b 9.967
_cell_length_c 10.054
_cell_angle_alpha 115.24
_cell_angle_beta 115.24
_cell_angle_gamma 21.94
loop_
_atom_site_label
_atom_site_fract_x
_atom_site_fract_y
_atom_site_fract_z
Ac1 0.147 0.147 0.165
Ac2 0.853 0.853 0.835
La1 0.000 0.000 0.500
Pm1 0.183 0.183 0.832
Pm2 0.482 0.482 0.175
Pm3 0.518 0.518 0.825
Pm4 0.817 0.817 0.168
Nd1 0.334 0.334 0.494
Nd2 0.666 0.666 0.506
```

Main lines, low angle first (5° ≤ 2θ ≤ 70°):
| 2theta | d/Å | I (rel.) |
| --- | --- | --- |
| 27.4 | 3.256 | 23.9 |
| 28.0 | 3.187 | 18.9 |
| 29.6 | 3.019 | 59.5 |
| 30.3 | 2.954 | 81.2 |
| 30.4 | 2.938 | 38.6 |
| 31.9 | 2.804 | 100.0 |
| 48.2 | 1.886 | 31.2 |
| 51.9 | 1.763 | 18.8 |
| 55.0 | 1.669 | 20.6 |
| 57.6 | 1.600 | 36.5 |

---

The following is a theoretical powder XRD pattern of AcLaPm2Nd2. It was derived from a crystal structure in Alexandria, relaxed with PBE, using Cu Kα.
Kinematic intensities with the Lorentz-polarization factor, no thermal factor.

Structure:
```
data_AcLaPm2Nd2
_chemical_formula_sum 'Ac2 La2 Pm4 Nd4'
_space_group_name_H-M_alt 'P 1'
_space_group_IT_number 1
_space_group_name_Hall 'P 1'
_cell_length_a 7.342
_cell_length_b 5.893
_cell_length_c 10.165
_cell_angle_alpha 90.00
_cell_angle_beta 90.00
_cell_angle_gamma 90.00
loop_
_atom_site_label
_atom_site_fract_x
_atom_site_fract_y
_atom_site_fract_z
Ac1 0.000 0.000 0.000
Ac2 0.500 0.000 0.000
La1 0.250 0.500 0.172
La2 0.750 0.500 0.828
Pm1 0.250 0.000 0.336
Pm2 0.250 0.500 0.831
Pm3 0.750 0.000 0.664
Pm4 0.750 0.500 0.169
Nd1 0.000 0.500 0.500
Nd2 0.250 0.000 0.663
Nd3 0.500 0.500 0.500
Nd4 0.750 0.000 0.337
```

Main lines, low angle first (5° ≤ 2θ ≤ 70°):
| 2theta | d/Å | I (rel.) |
| --- | --- | --- |
| 30.0 | 2.978 | 99.7 |
| 30.4 | 2.940 | 100.0 |
| 43.2 | 2.092 | 37.0 |
| 49.7 | 1.835 | 8.8 |
| 53.7 | 1.706 | 26.1 |
| 53.8 | 1.703 | 13.2 |
| 54.0 | 1.699 | 13.4 |
| 54.1 | 1.694 | 6.6 |
| 59.4 | 1.557 | 30.2 |
| 63.3 | 1.469 | 8.2 |

---

The following is a theoretical powder XRD pattern of Ac5LaPm2Nd. It was derived from a crystal structure in Alexandria, relaxed with PBE, using Cu Kα.
Kinematic intensities with the Lorentz-polarization factor, no thermal factor.

Structure:
```
data_Ac5LaPm2Nd
_chemical_formula_sum 'Ac10 La2 Pm4 Nd2'
_space_group_name_H-M_alt 'P 1'
_space_group_IT_number 1
_space_group_name_Hall 'P 1'
_cell_length_a 11.357
_cell_length_b 11.357
_cell_length_c 11.282
_cell_angle_alpha 90.00
_cell_angle_beta 90.00
_cell_angle_gamma 149.10
loop_
_atom_site_label
_atom_site_fract_x
_atom_site_fract_y
_atom_site_fract_z
Ac1 0.011 0.989 0.500
Ac2 0.276 0.724 0.193
Ac3 0.299 0.701 0.812
Ac4 0.376 0.624 0.494
Ac5 0.485 0.515 0.771
Ac6 0.515 0.485 0.271
Ac7 0.624 0.376 0.994
Ac8 0.701 0.299 0.312
Ac9 0.724 0.276 0.693
Ac10 0.989 0.011 0.000
La1 0.409 0.591 0.058
La2 0.591 0.409 0.558
Pm1 0.113 0.887 0.209
Pm2 0.116 0.884 0.773
Pm3 0.884 0.116 0.273
Pm4 0.887 0.113 0.709
Nd1 0.191 0.809 0.500
Nd2 0.809 0.191 0.000
```

Main lines, low angle first (5° ≤ 2θ ≤ 70°):
| 2theta | d/Å | I (rel.) |
| --- | --- | --- |
| 24.8 | 3.592 | 14.9 |
| 25.7 | 3.472 | 16.4 |
| 28.2 | 3.161 | 39.7 |
| 29.5 | 3.025 | 41.3 |
| 29.8 | 3.003 | 100.0 |
| 31.7 | 2.821 | 13.3 |
| 43.9 | 2.063 | 10.9 |
| 51.6 | 1.772 | 13.5 |
| 52.5 | 1.743 | 26.0 |
| 56.8 | 1.621 | 12.0 |

---

The following is a theoretical powder XRD pattern of AcLa4Pr2Nd. It was derived from a crystal structure in Alexandria, relaxed with PBE, using Cu Kα.
Kinematic intensities with the Lorentz-polarization factor, no thermal factor.

Structure:
```
data_AcLa4Pr2Nd
_chemical_formula_sum 'Ac1 La4 Pr2 Nd1'
_space_group_name_H-M_alt 'P 1'
_space_group_IT_number 1
_space_group_name_Hall 'P 1'
_cell_length_a 5.310
_cell_length_b 5.322
_cell_length_c 10.595
_cell_angle_alpha 90.00
_cell_angle_beta 90.09
_cell_angle_gamma 90.00
loop_
_atom_site_label
_atom_site_fract_x
_atom_site_fract_y
_atom_site_fract_z
Ac1 0.000 0.000 0.000
La1 0.001 0.500 0.256
La2 0.499 0.000 0.744
La3 0.501 0.000 0.256
La4 0.999 0.500 0.744
Pr1 0.000 0.000 0.500
Pr2 0.500 0.500 0.000
Nd1 0.500 0.500 0.500
```

Main lines, low angle first (5° ≤ 2θ ≤ 70°):
| 2theta | d/Å | I (rel.) |
| --- | --- | --- |
| 25.2 | 3.539 | 1.4 |
| 29.1 | 3.066 | 100.0 |
| 33.7 | 2.658 | 34.1 |
| 33.8 | 2.649 | 16.7 |
| 48.5 | 1.878 | 30.7 |
| 48.6 | 1.874 | 6.1 |
| 57.5 | 1.603 | 22.2 |
| 57.6 | 1.600 | 14.6 |
| 57.7 | 1.598 | 7.2 |
| 60.4 | 1.533 | 12.7 |

---

The following is a theoretical powder XRD pattern of Ac2LaPrNd2. It was derived from a crystal structure in Alexandria, relaxed with PBE, using Cu Kα.
Kinematic intensities with the Lorentz-polarization factor, no thermal factor.

Structure:
```
data_Ac2LaPrNd2
_chemical_formula_sum 'Ac4 La2 Pr2 Nd4'
_space_group_name_H-M_alt 'P 1'
_space_group_IT_number 1
_space_group_name_Hall 'P 1'
_cell_length_a 7.459
_cell_length_b 6.024
_cell_length_c 10.374
_cell_angle_alpha 90.00
_cell_angle_beta 90.00
_cell_angle_gamma 90.00
loop_
_atom_site_label
_atom_site_fract_x
_atom_site_fract_y
_atom_site_fract_z
Ac1 0.000 0.000 0.000
Ac2 0.250 0.500 0.170
Ac3 0.500 0.000 0.000
Ac4 0.750 0.500 0.830
La1 0.000 0.500 0.500
La2 0.500 0.500 0.500
Pr1 0.250 0.000 0.666
Pr2 0.750 0.000 0.334
Nd1 0.250 0.000 0.342
Nd2 0.250 0.500 0.825
Nd3 0.750 0.000 0.658
Nd4 0.750 0.500 0.175
```

Main lines, low angle first (5° ≤ 2θ ≤ 70°):
| 2theta | d/Å | I (rel.) |
| --- | --- | --- |
| 29.5 | 3.031 | 100.0 |
| 29.7 | 3.012 | 35.8 |
| 29.8 | 2.999 | 70.3 |
| 42.3 | 2.135 | 25.5 |
| 42.5 | 2.129 | 12.1 |
| 48.8 | 1.865 | 9.1 |
| 52.5 | 1.743 | 13.5 |
| 52.7 | 1.737 | 41.1 |
| 58.2 | 1.585 | 10.9 |
| 58.3 | 1.584 | 21.5 |

---

The following is a theoretical powder XRD pattern of AcLaPr4Nd2. It was derived from a crystal structure in Alexandria, relaxed with PBE, using Cu Kα.
Kinematic intensities with the Lorentz-polarization factor, no thermal factor.

Structure:
```
data_AcLaPr4Nd2
_chemical_formula_sum 'Ac2 La2 Pr8 Nd4'
_space_group_name_H-M_alt 'P 1'
_space_group_IT_number 1
_space_group_name_Hall 'P 1'
_cell_length_a 7.493
_cell_length_b 7.517
_cell_length_c 10.576
_cell_angle_alpha 90.15
_cell_angle_beta 90.02
_cell_angle_gamma 90.48
loop_
_atom_site_label
_atom_site_fract_x
_atom_site_fract_y
_atom_site_fract_z
Ac1 0.000 0.000 0.000
Ac2 0.500 0.000 0.500
La1 0.000 0.000 0.500
La2 0.000 0.500 0.500
Pr1 0.251 0.255 0.249
Pr2 0.251 0.746 0.249
Pr3 0.251 0.746 0.751
Pr4 0.252 0.255 0.751
Pr5 0.748 0.745 0.249
Pr6 0.749 0.254 0.249
Pr7 0.749 0.254 0.751
Pr8 0.749 0.745 0.751
Nd1 0.000 0.500 0.000
Nd2 0.500 0.000 0.000
Nd3 0.500 0.500 0.000
Nd4 0.500 0.500 0.500
```

Main lines, low angle first (5° ≤ 2θ ≤ 70°):
| 2theta | d/Å | I (rel.) |
| --- | --- | --- |
| 29.2 | 3.062 | 100.0 |
| 29.2 | 3.056 | 33.2 |
| 33.6 | 2.665 | 22.9 |
| 33.9 | 2.643 | 44.9 |
| 48.5 | 1.879 | 16.5 |
| 48.6 | 1.874 | 16.4 |
| 57.4 | 1.606 | 9.9 |
| 57.7 | 1.597 | 14.7 |
| 57.8 | 1.594 | 24.3 |
| 60.6 | 1.529 | 12.7 |